# Pm4PrSn
Theoretical powder X-ray diffraction pattern, Cu Kα (λ = 1.5418 Å). Input: a GGA-PBE-relaxed structure.
Peak positions follow from Bragg's law for the DFT cell and can differ from measured ones.

Top 10 peaks for 2θ = 10–90°, most intense first:
32.73 deg, rel. 100, (1 1 -3)
31.13 deg, rel. 77, (2 0 -1)
26.01 deg, rel. 34, (1 2 0)
30.19 deg, rel. 32, (1 2 -2)
20.10 deg, rel. 29, (0 2 0)
29.51 deg, rel. 27, (0 2 2)
61.59 deg, rel. 24, (1 5 -3)
56.44 deg, rel. 21, (3 1 -4)
32.25 deg, rel. 21, (0 3 1)
34.65 deg, rel. 20, (1 3 -1)

```
data_Pm4PrSn
_space_group_name_H-M_alt 'P 1 21/m 1'
_space_group_IT_number 11
_space_group_name_Hall '-P 2yb'
_cell_length_a 5.7423
_cell_length_b 8.8360
_cell_length_c 8.7939
_cell_angle_alpha 90.00
_cell_angle_beta 109.06
_cell_angle_gamma 90.00
loop_
_atom_site_label
_atom_site_type_symbol
_atom_site_fract_x
_atom_site_fract_y
_atom_site_fract_z
_atom_site_occupancy
Pm1 Pm 0.0330 0.2500 0.0666 1
Pm2 Pm 0.2316 0.2500 0.4640 1
Pm3 Pm 0.3693 0.5639 0.7374 1
Pr1 Pr 0.1614 0.7500 0.3220 1
Sn1 Sn 0.4520 0.2500 0.9050 1
```